Record 1
Theoretical PXRD pattern
Compound: Rb3AgGe4Se10O2
Radiation: copper Kα
Structure: a cell relaxed with GGA-PBE
Peak positions follow from Bragg's law for the DFT cell and can differ from measured ones.

Peak list (10 most intense, 10 to 80 degrees two-theta, low angle first)
d_spacing  Rel. int.
7.969  81
7.878  55
3.259  51
3.248  100
3.180  61
3.021  20
2.528  18
2.064  19
1.969  21
1.962  21

Structural model:
a = 9.130 Å, b = 9.151 Å, c = 10.078 Å
α = 115.71°, β = 115.39°, γ = 91.30°
Atoms (fractional coordinates):
1 Rb 0.000 0.000 0.000
2 Rb 0.224 0.548 0.012
3 Rb 0.584 0.082 0.443
4 Ag 0.701 0.363 0.234
5 Ge 0.184 0.428 0.529
6 Ge 0.432 0.878 0.879
7 Ge 0.558 0.641 0.539
8 Ge 0.633 0.522 0.871
9 Se 0.154 0.694 0.700
10 Se 0.289 0.442 0.352
11 Se 0.366 0.318 0.702
12 Se 0.407 0.129 0.061
13 Se 0.547 0.916 0.716
14 Se 0.633 0.791 0.063
15 Se 0.655 0.667 0.371
16 Se 0.754 0.534 0.705
17 Se 0.842 0.425 0.045
18 Se 0.933 0.222 0.354
19 O 0.286 0.898 0.144
20 O 0.884 0.272 0.900

***

Record 2
Theoretical PXRD pattern
Compound: AlPO4
Radiation: copper Kα
Structure: a cell relaxed with GGA-PBE
Peak positions follow from Bragg's law for the DFT cell and can differ from measured ones.

Peak list (10 most intense, 10 to 80 degrees two-theta, low angle first)
d_spacing  Rel. int.
4.469  18
3.512  100
2.580  4
2.079  4
1.910  20
1.619  7
1.452  4
1.445  9
1.261  4
1.211  5

Structural model:
a = 5.161 Å, b = 5.161 Å, c = 11.361 Å
α = 90.00°, β = 90.00°, γ = 120.00°
Atoms (fractional coordinates):
1 Al 0.000 0.500 0.333
2 Al 0.500 0.000 0.000
3 Al 0.500 0.500 0.667
4 P 0.000 0.500 0.833
5 P 0.500 0.000 0.500
6 P 0.500 0.500 0.167
7 O 0.194 0.420 0.756
8 O 0.194 0.774 0.911
9 O 0.226 0.420 0.244
10 O 0.226 0.806 0.423
11 O 0.420 0.194 0.577
12 O 0.420 0.226 0.089
13 O 0.580 0.774 0.089
14 O 0.580 0.806 0.577
15 O 0.774 0.194 0.423
16 O 0.774 0.580 0.244
17 O 0.806 0.226 0.911
18 O 0.806 0.580 0.756

***

Record 3
Theoretical PXRD pattern
Compound: Nb3Ga2
Radiation: copper Kα
Structure: a cell relaxed with GGA-PBE
Peak positions follow from Bragg's law for the DFT cell and can differ from measured ones.

Peak list (10 most intense, 10 to 80 degrees two-theta, low angle first)
d_spacing  Rel. int.
2.477  43
2.458  13
2.334  100
2.199  46
1.765  17
1.522  12
1.486  8
1.377  20
1.272  12
1.213  9

Structural model:
a = 6.953 Å, b = 6.953 Å, c = 3.531 Å
α = 90.00°, β = 90.00°, γ = 90.00°
Atoms (fractional coordinates):
1 Nb 0.000 0.000 0.000
2 Nb 0.175 0.325 0.500
3 Nb 0.325 0.825 0.500
4 Nb 0.500 0.500 0.000
5 Nb 0.675 0.175 0.500
6 Nb 0.825 0.675 0.500
7 Ga 0.126 0.626 0.000
8 Ga 0.374 0.126 0.000
9 Ga 0.626 0.874 0.000
10 Ga 0.874 0.374 0.000

***

Record 4
Theoretical PXRD pattern
Compound: As
Radiation: copper Kα
Structure: a cell relaxed with GGA-PBE
Peak positions follow from Bragg's law for the DFT cell and can differ from measured ones.

Peak list (5 most intense, 10 to 80 degrees two-theta, low angle first)
d_spacing  Rel. int.
2.738  100
1.936  72
1.581  25
1.369  11
1.224  32

Structural model:
a = 2.738 Å, b = 2.738 Å, c = 2.738 Å
α = 90.00°, β = 90.00°, γ = 90.00°
Atoms (fractional coordinates):
1 As 0.000 0.000 0.000

***

Record 5
Theoretical PXRD pattern
Compound: Ca5Bi6Cl12O8
Radiation: copper Kα
Structure: a cell relaxed with GGA-PBE
Peak positions follow from Bragg's law for the DFT cell and can differ from measured ones.

Peak list (10 most intense, 10 to 80 degrees two-theta, low angle first)
d_spacing  Rel. int.
3.485  50
2.951  100
2.802  27
2.785  28
2.473  33
1.975  30
1.741  17
1.736  13
1.645  18
1.638  17

Structural model:
a = 12.742 Å, b = 12.742 Å, c = 12.742 Å
α = 154.75°, β = 127.81°, γ = 58.84°
Atoms (fractional coordinates):
1 Ca 0.000 0.000 0.000
2 Ca 0.192 0.692 0.500
3 Ca 0.269 0.500 0.769
4 Ca 0.731 0.500 0.231
5 Ca 0.808 0.308 0.500
6 Bi 0.059 0.804 0.256
7 Bi 0.302 0.302 0.000
8 Bi 0.452 0.196 0.256
9 Bi 0.548 0.804 0.744
10 Bi 0.698 0.698 0.000
11 Bi 0.941 0.196 0.744
12 Cl 0.000 0.500 0.500
13 Cl 0.112 0.378 0.735
14 Cl 0.125 0.125 0.000
15 Cl 0.239 0.000 0.239
16 Cl 0.357 0.622 0.735
17 Cl 0.369 0.869 0.500
18 Cl 0.500 0.500 0.000
19 Cl 0.631 0.131 0.500
20 Cl 0.643 0.378 0.265
21 Cl 0.761 0.000 0.761
22 Cl 0.875 0.875 0.000
23 Cl 0.888 0.622 0.265
24 O 0.121 0.005 0.628
25 O 0.121 0.493 0.116
26 O 0.377 0.005 0.884
27 O 0.377 0.493 0.372
28 O 0.623 0.507 0.628
29 O 0.623 0.995 0.116
30 O 0.879 0.507 0.884
31 O 0.879 0.995 0.372

***

Record 6
Theoretical PXRD pattern
Compound: CsMgBiO3
Radiation: copper Kα
Structure: a cell relaxed with GGA-PBE
Peak positions follow from Bragg's law for the DFT cell and can differ from measured ones.

Peak list (10 most intense, 10 to 80 degrees two-theta, low angle first)
d_spacing  Rel. int.
5.022  60
3.991  41
3.797  52
3.231  100
2.511  24
2.460  94
1.865  22
1.674  30
1.637  23
1.486  21

Structural model:
a = 5.323 Å, b = 5.323 Å, c = 5.323 Å
α = 74.73°, β = 74.73°, γ = 74.73°
Atoms (fractional coordinates):
1 Cs 0.000 0.000 0.000
2 Mg 0.385 0.385 0.385
3 Bi 0.648 0.648 0.648
4 O 0.065 0.574 0.574
5 O 0.574 0.065 0.574
6 O 0.574 0.574 0.065

***

Record 7
Theoretical PXRD pattern
Compound: Rb4PbO4
Radiation: copper Kα
Structure: a cell relaxed with GGA-PBE
Peak positions follow from Bragg's law for the DFT cell and can differ from measured ones.

Peak list (10 most intense, 10 to 80 degrees two-theta, low angle first)
d_spacing  Rel. int.
6.139  36
5.392  32
3.360  47
3.262  100
3.229  96
3.184  39
2.920  68
2.760  66
2.604  24
1.881  27

Structural model:
a = 7.015 Å, b = 19.663 Å, c = 6.999 Å
α = 90.00°, β = 112.86°, γ = 90.00°
Atoms (fractional coordinates):
1 Rb 0.141 0.082 0.212
2 Rb 0.141 0.418 0.712
3 Rb 0.198 0.216 0.678
4 Rb 0.198 0.284 0.178
5 Rb 0.281 0.016 0.745
6 Rb 0.281 0.484 0.245
7 Rb 0.307 0.690 0.319
8 Rb 0.307 0.810 0.819
9 Rb 0.693 0.190 0.181
10 Rb 0.693 0.310 0.681
11 Rb 0.719 0.516 0.755
12 Rb 0.719 0.984 0.255
13 Rb 0.802 0.716 0.822
14 Rb 0.802 0.784 0.322
15 Rb 0.859 0.582 0.288
16 Rb 0.859 0.918 0.788
17 Pb 0.253 0.623 0.810
18 Pb 0.253 0.877 0.310
19 Pb 0.747 0.123 0.690
20 Pb 0.747 0.377 0.190
21 O 0.061 0.695 0.592
22 O 0.061 0.805 0.092
23 O 0.082 0.594 0.990
24 O 0.082 0.906 0.490
25 O 0.293 0.547 0.616
26 O 0.293 0.953 0.116
27 O 0.470 0.169 0.486
28 O 0.470 0.331 0.986
29 O 0.530 0.669 0.014
30 O 0.530 0.831 0.514
31 O 0.707 0.047 0.884
32 O 0.707 0.453 0.384
33 O 0.918 0.094 0.510
34 O 0.918 0.406 0.010
35 O 0.939 0.195 0.908
36 O 0.939 0.305 0.408